The following is a calculated XRD peak list of La2Mo2O7. It was derived from a PBE+U-relaxed structure, using Cu Kα (λ = 1.5418 Å).

Largest 12 diffraction maxima, in order of rising 2θ, 2θ = 5–70°:
- 2θ 26.1, 3.419 Å, intensity 803
- 2θ 26.6, 3.350 Å, intensity 1000
- 2θ 27.6, 3.234 Å, intensity 781
- 2θ 30.2, 2.964 Å, intensity 364
- 2θ 31.1, 2.875 Å, intensity 851
- 2θ 32.4, 2.760 Å, intensity 581
- 2θ 39.6, 2.273 Å, intensity 290
- 2θ 39.9, 2.261 Å, intensity 336
- 2θ 45.3, 2.004 Å, intensity 471
- 2θ 47.0, 1.933 Å, intensity 265
- 2θ 47.6, 1.910 Å, intensity 539
- 2θ 67.3, 1.391 Å, intensity 310

Structure:
a = 6.106 Å, b = 12.379 Å, c = 4.007 Å
α = 90.00°, β = 90.00°, γ = 90.00°
Space group Pnnm (No. 58)
Symmetry-distinct sites (fractional):
La1 0.095 0.157 0.000 [4 per cell]
Mo1 0.186 0.448 0.000 [4 per cell]
O1 0.000 0.000 0.500 [2 per cell]
O2 0.115 0.618 0.000 [4 per cell]
O3 0.149 0.798 0.500 [4 per cell]
O4 0.232 0.458 0.500 [4 per cell]